(1)
Sr2CdS3: computed XRD peak list (Cu Kα), based on DFT lattice parameters and positions (PBE).
Peak positions follow from Bragg's law for the DFT cell and can differ from measured ones.

Cell and atoms:
a = 8.8782 Å, b = 4.1567 Å, c = 16.8425 Å
α = 90.00°, β = 90.00°, γ = 90.00°
Sites, in units of the cell vectors:
Sr  0.1014  0.2500  0.2205
Sr  0.2048  0.2500  0.9498
Sr  0.2952  0.7500  0.4498
Sr  0.3986  0.7500  0.7205
Sr  0.6014  0.2500  0.2795
Sr  0.7048  0.2500  0.5502
Sr  0.7952  0.7500  0.0502
Sr  0.8986  0.7500  0.7795
Cd  0.0993  0.2500  0.6199
Cd  0.4007  0.7500  0.1199
Cd  0.5993  0.2500  0.8801
Cd  0.9007  0.7500  0.3801
S  0.0621  0.2500  0.4031
S  0.1308  0.7500  0.0716
S  0.1576  0.2500  0.7710
S  0.3424  0.7500  0.2710
S  0.3692  0.2500  0.5716
S  0.4379  0.7500  0.9031
S  0.5621  0.2500  0.0969
S  0.6308  0.7500  0.4284
S  0.6576  0.2500  0.7290
S  0.8424  0.7500  0.2290
S  0.8692  0.2500  0.9284
S  0.9379  0.7500  0.5969

Top 10 peaks for 2θ = 5–70°, by intensity:
d [Å]  2θ/deg  intensity
3.034  29.44  100
3.341  26.68  78
3.149  28.34  41
2.386  37.69  39
2.807  31.88  38
2.078  43.55  37
2.510  35.77  34
1.960  46.31  33
2.792  32.06  30
2.254  40.01  24

---

(2)
Sr2CdS: computed XRD peak list (Cu Kα), based on DFT lattice parameters and positions (PBE).
Peak positions follow from Bragg's law for the DFT cell and can differ from measured ones.

Cell and atoms:
a = 8.3223 Å, b = 8.3223 Å, c = 8.4305 Å
α = 90.00°, β = 90.00°, γ = 90.00°
Sites, in units of the cell vectors:
Sr  0.2000  0.2500  0.1250
Sr  0.2500  0.7000  0.3750
Sr  0.2500  0.8000  0.8750
Sr  0.3000  0.2500  0.6250
Sr  0.7000  0.7500  0.6250
Sr  0.7500  0.2000  0.8750
Sr  0.7500  0.3000  0.3750
Sr  0.8000  0.7500  0.1250
Cd  0.0000  0.0000  0.5000
Cd  0.0000  0.5000  0.7500
Cd  0.5000  0.0000  0.2500
Cd  0.5000  0.5000  0.0000
S  0.0000  0.0000  0.0000
S  0.0000  0.5000  0.2500
S  0.5000  0.0000  0.7500
S  0.5000  0.5000  0.5000

Top 10 peaks for 2θ = 5–70°, by intensity:
d [Å]  2θ/deg  intensity
3.427  26.00  100
2.942  30.38  56
2.232  40.40  48
3.405  26.17  38
1.880  48.41  33
1.521  60.90  18
2.635  34.02  17
2.081  43.50  17
1.395  67.10  15
1.633  56.35  13

---

(3)
SrCd3S4: computed XRD peak list (Cu Kα), based on DFT lattice parameters and positions (PBE).
Peak positions follow from Bragg's law for the DFT cell and can differ from measured ones.

Cell and atoms:
a = 4.2312 Å, b = 9.7401 Å, c = 10.4854 Å
α = 90.00°, β = 90.00°, γ = 90.00°
Sites, in units of the cell vectors:
Sr  0.0000  0.0000  0.0000
Sr  0.0000  0.5000  0.5000
Cd  0.0000  0.0000  0.3737
Cd  0.0000  0.5000  0.8737
Cd  0.5000  0.1953  0.6595
Cd  0.5000  0.3047  0.1595
Cd  0.5000  0.6953  0.1595
Cd  0.5000  0.8047  0.6595
S  0.0000  0.2058  0.5242
S  0.0000  0.2942  0.0242
S  0.0000  0.7058  0.0242
S  0.0000  0.7942  0.5242
S  0.5000  0.0000  0.2246
S  0.5000  0.0000  0.8146
S  0.5000  0.5000  0.3146
S  0.5000  0.5000  0.7246

Top 10 peaks for 2θ = 5–70°, by intensity:
d [Å]  2θ/deg  intensity
3.292  27.09  100
3.568  24.96  56
2.074  43.65  55
3.101  28.79  40
1.747  52.38  30
3.194  27.93  28
3.640  24.46  25
2.116  42.74  21
2.026  44.72  18
1.820  50.13  16

---

(4)
SrUCd2S6: computed XRD peak list (Cu Kα), based on DFT lattice parameters and positions (PBE).
Peak positions follow from Bragg's law for the DFT cell and can differ from measured ones.

Cell and atoms:
a = 7.4175 Å, b = 7.4175 Å, c = 7.4175 Å
α = 54.94°, β = 54.94°, γ = 54.94°
Sites, in units of the cell vectors:
Sr  0.0000  0.0000  0.0000
U  0.4849  0.4849  0.4849
Cd  0.2883  0.2883  0.2883
Cd  0.8069  0.8069  0.8069
S  0.0923  0.6731  0.4354
S  0.2393  0.5709  0.8740
S  0.4354  0.0923  0.6731
S  0.5709  0.8740  0.2393
S  0.6731  0.4354  0.0923
S  0.8740  0.2393  0.5709

Top 10 peaks for 2θ = 5–70°, by intensity:
d [Å]  2θ/deg  intensity
2.313  38.94  100
3.422  26.04  92
3.686  24.14  84
5.016  17.68  58
1.975  45.94  49
2.023  44.81  37
2.508  35.81  36
3.004  29.74  33
5.653  15.68  33
1.502  61.76  24

---

(5)
TbCdS2: computed XRD peak list (Cu Kα), based on DFT lattice parameters and positions (PBE).
Peak positions follow from Bragg's law for the DFT cell and can differ from measured ones.

Cell and atoms:
a = 3.9985 Å, b = 3.9985 Å, c = 24.5208 Å
α = 90.00°, β = 90.00°, γ = 120.00°
Sites, in units of the cell vectors:
Tb  0.0000  0.0000  0.0000
Tb  0.3333  0.6667  0.6667
Tb  0.6667  0.3333  0.3333
Cd  0.0000  0.0000  0.5000
Cd  0.3333  0.6667  0.1667
Cd  0.6667  0.3333  0.8333
S  0.0000  0.0000  0.3942
S  0.0000  0.0000  0.6058
S  0.3333  0.6667  0.0608
S  0.3333  0.6667  0.2725
S  0.6667  0.3333  0.7275
S  0.6667  0.3333  0.9392

Top 10 peaks for 2θ = 5–70°, by intensity:
d [Å]  2θ/deg  intensity
3.332  26.75  100
2.000  45.34  63
3.015  29.63  42
2.295  39.25  41
4.087  21.75  34
1.796  50.84  22
8.174  10.82  17
1.714  53.45  14
1.429  65.30  13
1.508  61.51  11

---

(6)
Tb3CdS: computed XRD peak list (Cu Kα), based on DFT lattice parameters and positions (PBE).
Peak positions follow from Bragg's law for the DFT cell and can differ from measured ones.

Cell and atoms:
a = 9.0822 Å, b = 3.9052 Å, c = 15.0000 Å
α = 90.00°, β = 90.00°, γ = 90.00°
Sites, in units of the cell vectors:
Tb  0.0248  0.2500  0.1090
Tb  0.1645  0.2500  0.5183
Tb  0.2001  0.7500  0.2874
Tb  0.2999  0.2500  0.7874
Tb  0.3355  0.7500  0.0183
Tb  0.4752  0.7500  0.6090
Tb  0.5248  0.2500  0.3910
Tb  0.6645  0.2500  0.9817
Tb  0.7001  0.7500  0.2126
Tb  0.7999  0.2500  0.7126
Tb  0.8355  0.7500  0.4817
Tb  0.9752  0.7500  0.8910
Cd  0.0780  0.7500  0.6782
Cd  0.4220  0.2500  0.1782
Cd  0.5780  0.7500  0.8218
Cd  0.9220  0.2500  0.3218
S  0.1642  0.2500  0.9477
S  0.3358  0.7500  0.4477
S  0.6642  0.2500  0.5523
S  0.8358  0.7500  0.0523

Top 10 peaks for 2θ = 5–70°, by intensity:
d [Å]  2θ/deg  intensity
2.905  30.78  100
2.754  32.51  98
2.915  30.67  89
2.849  31.40  66
2.892  30.93  52
2.967  30.12  42
1.610  57.22  37
1.953  46.51  36
1.839  49.58  30
2.379  37.82  30